No. 1
Starting from a cell relaxed with PBE, the powder diffractogram of Cu3NiBr9 was simulated for CuKα.

Principal peaks in the range 15 to 90 degrees two-theta, most intense first:
- 2θ 17.0, I 1000
- 2θ 29.5, I 386
- 2θ 33.5, I 346
- 2θ 49.1, I 239
- 2θ 28.8, I 234
- 2θ 19.0, I 228
- 2θ 22.0, I 223
- 2θ 45.1, I 201
- 2θ 36.5, I 195
- 2θ 26.3, I 192

```
data_Cu3NiBr9
_cell_length_a 10.170
_cell_length_b 10.170
_cell_length_c 13.144
_cell_angle_alpha 123.79
_cell_angle_beta 123.79
_cell_angle_gamma 46.91
_symmetry_space_group_name_H-M 'P 1'
_symmetry_Int_Tables_number 1
_symmetry_space_group_name_Hall 'P 1'
loop_
_atom_site_label
_atom_site_type_symbol
_atom_site_fract_x
_atom_site_fract_y
_atom_site_fract_z
Cu1 Cu 0.029 0.971 0.500
Cu2 Cu 0.278 0.496 0.591
Cu3 Cu 0.496 0.278 0.091
Cu4 Cu 0.540 0.719 0.442
Cu5 Cu 0.719 0.540 0.942
Cu6 Cu 0.971 0.029 0.000
Ni1 Ni 0.027 0.484 0.760
Ni2 Ni 0.484 0.027 0.260
Br1 Br 0.024 0.815 0.579
Br2 Br 0.106 0.170 0.709
Br3 Br 0.167 0.359 0.597
Br4 Br 0.170 0.106 0.209
Br5 Br 0.205 0.893 0.389
Br6 Br 0.334 0.413 0.923
Br7 Br 0.359 0.167 0.097
Br8 Br 0.413 0.334 0.423
Br9 Br 0.440 0.647 0.768
Br10 Br 0.573 0.709 0.104
Br11 Br 0.596 0.903 0.427
Br12 Br 0.647 0.440 0.268
Br13 Br 0.709 0.573 0.604
Br14 Br 0.794 0.949 0.301
Br15 Br 0.815 0.024 0.079
Br16 Br 0.893 0.205 0.889
Br17 Br 0.903 0.596 0.927
Br18 Br 0.949 0.794 0.801
```

***

No. 2
Starting from a cell relaxed with PBE, the powder diffractogram of Li3Tb3PuSe8 was simulated for CuKα.

Principal peaks in the range 15 to 90 degrees two-theta, most intense first:
- 2θ 31.2, I 1000
- 2θ 25.5, I 427
- 2θ 44.1, I 382
- 2θ 45.2, I 358
- 2θ 34.2, I 201
- 2θ 55.0, I 199
- 2θ 46.4, I 174
- 2θ 73.1, I 171
- 2θ 74.6, I 162
- 2θ 81.9, I 127

```
data_Li3Tb3PuSe8
_cell_length_a 8.035
_cell_length_b 8.035
_cell_length_c 8.035
_cell_angle_alpha 61.42
_cell_angle_beta 61.42
_cell_angle_gamma 61.42
_symmetry_space_group_name_H-M 'P 1'
_symmetry_Int_Tables_number 1
_symmetry_space_group_name_Hall 'P 1'
loop_
_atom_site_label
_atom_site_type_symbol
_atom_site_fract_x
_atom_site_fract_y
_atom_site_fract_z
Li1 Li 0.000 0.500 0.500
Li2 Li 0.500 0.000 0.500
Li3 Li 0.500 0.500 0.000
Tb1 Tb 0.000 0.000 0.500
Tb2 Tb 0.000 0.500 0.000
Tb3 Tb 0.500 0.000 0.000
Pu1 Pu 0.500 0.500 0.500
Se1 Se 0.251 0.251 0.251
Se2 Se 0.253 0.253 0.745
Se3 Se 0.253 0.745 0.253
Se4 Se 0.255 0.747 0.747
Se5 Se 0.745 0.253 0.253
Se6 Se 0.747 0.255 0.747
Se7 Se 0.747 0.747 0.255
Se8 Se 0.749 0.749 0.749
```

***

No. 3
Starting from a cell relaxed with PBE, the powder diffractogram of Te3SeCl was simulated for CuKα.

Principal peaks in the range 15 to 90 degrees two-theta, most intense first:
- 2θ 33.2, I 1000
- 2θ 16.4, I 926
- 2θ 19.9, I 803
- 2θ 28.0, I 705
- 2θ 40.5, I 515
- 2θ 40.8, I 332
- 2θ 40.3, I 264
- 2θ 31.0, I 255
- 2θ 44.0, I 240
- 2θ 42.7, I 220

```
data_Te3SeCl
_cell_length_a 9.741
_cell_length_b 9.741
_cell_length_c 9.741
_cell_angle_alpha 40.95
_cell_angle_beta 40.95
_cell_angle_gamma 40.95
_symmetry_space_group_name_H-M 'P 1'
_symmetry_Int_Tables_number 1
_symmetry_space_group_name_Hall 'P 1'
loop_
_atom_site_label
_atom_site_type_symbol
_atom_site_fract_x
_atom_site_fract_y
_atom_site_fract_z
Te1 Te 0.107 0.771 0.622
Te2 Te 0.122 0.271 0.607
Te3 Te 0.271 0.607 0.122
Te4 Te 0.607 0.122 0.271
Te5 Te 0.622 0.107 0.771
Te6 Te 0.771 0.622 0.107
Se1 Se 0.431 0.431 0.431
Se2 Se 0.931 0.931 0.931
Cl1 Cl 0.185 0.185 0.185
Cl2 Cl 0.685 0.685 0.685
```

***

No. 4
Starting from a cell relaxed with PBE, the powder diffractogram of Nd4InTe3 was simulated for CuKα.

Principal peaks in the range 15 to 90 degrees two-theta, most intense first:
- 2θ 28.0, I 1000
- 2θ 40.0, I 765
- 2θ 65.5, I 353
- 2θ 49.5, I 275
- 2θ 72.6, I 259
- 2θ 57.8, I 129
- 2θ 86.3, I 70
- 2θ 86.2, I 14
- 2θ 24.2, I 13
- 2θ 47.3, I 7

```
data_Nd4InTe3
_cell_length_a 7.810
_cell_length_b 7.806
_cell_length_c 6.377
_cell_angle_alpha 65.93
_cell_angle_beta 65.86
_cell_angle_gamma 48.21
_symmetry_space_group_name_H-M 'P 1'
_symmetry_Int_Tables_number 1
_symmetry_space_group_name_Hall 'P 1'
loop_
_atom_site_label
_atom_site_type_symbol
_atom_site_fract_x
_atom_site_fract_y
_atom_site_fract_z
Nd1 Nd 0.000 0.000 0.500
Nd2 Nd 0.248 0.248 0.752
Nd3 Nd 0.500 0.500 0.000
Nd4 Nd 0.752 0.752 0.248
In1 In 0.000 0.000 0.000
Te1 Te 0.250 0.250 0.250
Te2 Te 0.500 0.500 0.500
Te3 Te 0.750 0.750 0.750
```

***

No. 5
Starting from a cell relaxed with PBE, the powder diffractogram of NaBeP2 was simulated for CuKα.

Principal peaks in the range 15 to 90 degrees two-theta, most intense first:
- 2θ 30.4, I 1000
- 2θ 27.2, I 734
- 2θ 44.8, I 573
- 2θ 47.4, I 324
- 2θ 37.5, I 298
- 2θ 47.9, I 251
- 2θ 41.5, I 214
- 2θ 48.5, I 197
- 2θ 20.4, I 189
- 2θ 65.0, I 176

```
data_NaBeP2
_cell_length_a 7.755
_cell_length_b 7.755
_cell_length_c 7.755
_cell_angle_alpha 145.71
_cell_angle_beta 145.71
_cell_angle_gamma 49.28
_symmetry_space_group_name_H-M 'P 1'
_symmetry_Int_Tables_number 1
_symmetry_space_group_name_Hall 'P 1'
loop_
_atom_site_label
_atom_site_type_symbol
_atom_site_fract_x
_atom_site_fract_y
_atom_site_fract_z
Na1 Na 0.000 0.000 0.000
Na2 Na 0.750 0.250 0.500
Be1 Be 0.250 0.750 0.500
Be2 Be 0.500 0.500 0.000
P1 P 0.266 0.625 0.141
P2 P 0.375 0.516 0.641
P3 P 0.484 0.125 0.859
P4 P 0.875 0.734 0.359
```